Entry 1:
Structure and simulated PXRD pattern of Ga8BIr4 (DFT lattice parameters and positions (GGA-PBE); CuKα).
Lines closer than 0.1° are merged.

Structural model:
a b c (Å): 12.2557 12.2557 12.2557
angles (deg): 138.81 138.81 59.66
Element x y z (fractional)
Ga 0.0054 0.9752 0.5988
Ga 0.0248 0.1236 0.0302
Ga 0.0933 0.6236 0.5988
Ga 0.1236 0.5933 0.0988
Ga 0.1264 0.1524 0.4027
Ga 0.1524 0.2497 0.0259
Ga 0.2237 0.7497 0.5973
Ga 0.2503 0.3476 0.4741
Ga 0.2497 0.7237 0.0973
Ga 0.2763 0.8736 0.5259
Ga 0.3476 0.3736 0.0973
Ga 0.3736 0.7763 0.0259
Ga 0.3764 0.4752 0.4698
Ga 0.4067 0.0054 0.5302
Ga 0.4752 0.5054 0.0988
Ga 0.4946 0.0933 0.9698
Ga 0.5054 0.9067 0.0302
Ga 0.5248 0.4946 0.9012
Ga 0.5933 0.9946 0.4698
Ga 0.6236 0.5248 0.5302
Ga 0.6264 0.2237 0.9741
Ga 0.6524 0.6264 0.9027
Ga 0.7237 0.1264 0.4741
Ga 0.7503 0.2763 0.9027
Ga 0.7497 0.6524 0.5259
Ga 0.7763 0.2503 0.4027
Ga 0.8476 0.7503 0.9741
Ga 0.8736 0.8476 0.5973
Ga 0.8764 0.4067 0.9012
Ga 0.9067 0.3764 0.4012
Ga 0.9752 0.8764 0.9698
Ga 0.9946 0.0248 0.4012
B 0.1250 0.3750 0.7500
B 0.3750 0.1250 0.2500
B 0.6250 0.8750 0.7500
B 0.8750 0.6250 0.2500
Ir 0.0231 0.2731 0.7500
Ir 0.0509 0.4491 0.2500
Ir 0.1991 0.9491 0.8982
Ir 0.2269 0.4769 0.7500
Ir 0.2731 0.0231 0.2500
Ir 0.3009 0.1991 0.7500
Ir 0.4491 0.6991 0.3982
Ir 0.4769 0.2269 0.2500
Ir 0.5231 0.7731 0.7500
Ir 0.5509 0.3009 0.6018
Ir 0.6991 0.8009 0.2500
Ir 0.7269 0.9769 0.7500
Ir 0.7731 0.5231 0.2500
Ir 0.8009 0.0509 0.1018
Ir 0.9491 0.5509 0.7500
Ir 0.9769 0.7269 0.2500

Peak list (12 most intense, 2θ from 15° to 90°, by angle)
two_theta	I/Imax
26.3	162
26.6	1000
31.3	271
37.7	272
41.8	674
43.5	460
45.2	426
45.3	378
45.4	440
47.1	264
63.3	145
71.3	195

=====

Entry 2:
Structure and simulated PXRD pattern of AlCu4Si2 (DFT lattice parameters and positions (GGA-PBE); CuKα).
Lines closer than 0.1° are merged.

Structural model:
a b c (Å): 6.8954 3.9552 7.4231
angles (deg): 90.00 108.36 90.00
Element x y z (fractional)
Al 0.1479 0.2500 0.2893
Al 0.8521 0.7500 0.7107
Cu 0.0709 0.2500 0.9363
Cu 0.0827 0.2500 0.6053
Cu 0.4684 0.2500 0.1255
Cu 0.4884 0.2500 0.6161
Cu 0.5116 0.7500 0.3839
Cu 0.5316 0.7500 0.8745
Cu 0.9173 0.7500 0.3947
Cu 0.9291 0.7500 0.0637
Si 0.2752 0.7500 0.5750
Si 0.2766 0.7500 0.0395
Si 0.7234 0.2500 0.9605
Si 0.7248 0.2500 0.4250

Peak list (12 most intense, 2θ from 15° to 90°, by angle)
two_theta	I/Imax
25.3	236
27.3	609
33.6	269
34.1	289
35.6	333
38.5	313
39.8	399
44.9	366
45.9	1000
47.5	532
47.6	602
49.3	398

=====

Entry 3:
Structure and simulated PXRD pattern of TbPm2HgN (DFT lattice parameters and positions (GGA-PBE); CuKα).
Lines closer than 0.1° are merged.

Structural model:
a b c (Å): 4.9854 4.9854 4.8152
angles (deg): 90.00 90.00 90.00
Element x y z (fractional)
Tb 0.0000 0.0000 0.0000
Pm 0.0000 0.5000 0.5000
Pm 0.5000 0.0000 0.5000
Hg 0.5000 0.5000 0.0000
N 0.0000 0.0000 0.5000

Peak list (12 most intense, 2θ from 15° to 90°, by angle)
two_theta	I/Imax
31.5	1000
36.0	379
37.4	172
51.9	134
52.9	253
61.9	295
63.7	136
65.6	132
85.0	63
86.5	121
87.5	63
88.3	62

=====

Entry 4:
Structure and simulated PXRD pattern of TbCeGdCd (DFT lattice parameters and positions (GGA-PBE); CuKα).
Lines closer than 0.1° are merged.

Structural model:
a b c (Å): 7.6677 7.6677 7.6677
angles (deg): 90.00 90.00 90.00
Element x y z (fractional)
Tb 0.0000 0.0000 0.0000
Tb 0.0000 0.5000 0.5000
Tb 0.5000 0.0000 0.5000
Tb 0.5000 0.5000 0.0000
Ce 0.2500 0.2500 0.2500
Ce 0.2500 0.7500 0.7500
Ce 0.7500 0.2500 0.7500
Ce 0.7500 0.7500 0.2500
Gd 0.0000 0.0000 0.5000
Gd 0.0000 0.5000 0.0000
Gd 0.5000 0.0000 0.0000
Gd 0.5000 0.5000 0.5000
Cd 0.2500 0.2500 0.7500
Cd 0.2500 0.7500 0.2500
Cd 0.7500 0.2500 0.2500
Cd 0.7500 0.7500 0.7500

Peak list (8 most intense, 2θ from 15° to 90°, by angle)
two_theta	I/Imax
23.2	12
33.0	1000
47.4	181
53.4	6
59.0	375
69.3	115
79.0	160
88.3	42

=====

Entry 5:
Structure and simulated PXRD pattern of Ag5AsSe4 (DFT lattice parameters and positions (GGA-PBE); CuKα).
Lines closer than 0.1° are merged.

Structural model:
a b c (Å): 4.7572 6.8813 8.3304
angles (deg): 89.78 86.57 73.68
Element x y z (fractional)
Ag 0.0000 0.0000 0.0000
Ag 0.0151 0.4378 0.6404
Ag 0.0821 0.8793 0.6437
Ag 0.6153 0.7874 0.8499
Ag 0.7755 0.0688 0.3506
As 0.2505 0.4696 0.1273
Se 0.1917 0.2489 0.3513
Se 0.2630 0.2511 0.8906
Se 0.6281 0.7763 0.5466
Se 0.7778 0.7369 0.1363

Peak list (12 most intense, 2θ from 15° to 90°, by angle)
two_theta	I/Imax
19.5	557
20.3	489
25.5	878
26.7	1000
28.3	460
28.6	748
34.9	670
36.9	472
40.2	569
41.3	544
43.0	607
44.7	580

=====

Entry 6:
Structure and simulated PXRD pattern of K8Tl (DFT lattice parameters and positions (GGA-PBE); CuKα).
Lines closer than 0.1° are merged.

Structural model:
a b c (Å): 9.9950 9.9950 9.9950
angles (deg): 95.40 95.40 144.28
Element x y z (fractional)
K 0.0000 0.3187 0.3187
K 0.0000 0.6813 0.6813
K 0.3187 0.0000 0.3187
K 0.3486 0.3486 0.6973
K 0.3486 0.6514 0.0000
K 0.6514 0.3486 0.0000
K 0.6514 0.6514 0.3027
K 0.6813 0.0000 0.6813
Tl 0.0000 0.0000 0.0000

Peak list (12 most intense, 2θ from 15° to 90°, by angle)
two_theta	I/Imax
15.9	215
20.7	209
20.9	118
24.6	1000
28.0	155
28.1	339
29.1	166
31.0	206
40.2	114
40.9	232
47.7	302
49.0	138